# Nd6CdFe13
Theoretical PXRD pattern, Cu Kα (weighted mean of Kα1 and Kα2). Input: a crystal structure in the Materials Project, relaxed with PBE.
Neutral-atom scattering factors, no anomalous dispersion.

Lattice parameters (Å, degrees): 12.862 12.862 12.862 143.58 143.58 52.45
Sites, in units of the cell vectors:
1 Nd 0.023 0.523 0.175
2 Nd 0.105 0.105 0.000
3 Nd 0.152 0.977 0.500
4 Nd 0.348 0.848 0.825
5 Nd 0.395 0.395 0.000
6 Nd 0.477 0.652 0.500
7 Nd 0.523 0.348 0.500
8 Nd 0.605 0.605 0.000
9 Nd 0.652 0.152 0.175
10 Nd 0.848 0.023 0.500
11 Nd 0.895 0.895 0.000
12 Nd 0.977 0.477 0.825
13 Cd 0.250 0.250 0.000
14 Cd 0.750 0.750 0.000
15 Fe 0.000 0.500 0.500
16 Fe 0.019 0.291 0.500
17 Fe 0.067 0.211 0.278
18 Fe 0.119 0.619 0.857
19 Fe 0.209 0.481 0.500
20 Fe 0.211 0.933 0.144
21 Fe 0.237 0.737 0.857
22 Fe 0.263 0.119 0.500
23 Fe 0.289 0.433 0.722
24 Fe 0.291 0.791 0.272
25 Fe 0.381 0.237 0.500
26 Fe 0.433 0.711 0.144
27 Fe 0.481 0.981 0.272
28 Fe 0.500 0.000 0.500
29 Fe 0.519 0.019 0.728
30 Fe 0.567 0.289 0.856
31 Fe 0.619 0.763 0.500
32 Fe 0.709 0.209 0.728
33 Fe 0.711 0.567 0.278
34 Fe 0.737 0.881 0.500
35 Fe 0.763 0.263 0.143
36 Fe 0.789 0.067 0.856
37 Fe 0.791 0.519 0.500
38 Fe 0.881 0.381 0.143
39 Fe 0.933 0.789 0.722
40 Fe 0.981 0.709 0.500

The 10 most intense peaks (2θ from 10° to 90°), low angle first:
2theta, I (rel.)
27.4, 73
31.5, 100
32.2, 30
34.9, 30
35.3, 85
38.4, 56
43.3, 43
46.8, 35
58.3, 31
67.8, 33